Diffraction record for YNiAgSe2. The powder diffractogram is computed, not measured: it uses a DFT-relaxed cell (PBE, Alexandria) and Cu Kα X-rays.
No peak broadening, texture or thermal motion is included.

Most intense lines, 10° ≤ 2θ ≤ 90°, sorted by position:
24.12 deg, rel. 47
29.29 deg, rel. 92
33.09 deg, rel. 100
35.60 deg, rel. 41
41.36 deg, rel. 22
47.50 deg, rel. 35
49.39 deg, rel. 62
56.78 deg, rel. 27
60.75 deg, rel. 33
89.88 deg, rel. 23

Structural model:
```
YNiAgSe2
1.0
5.414 0.000 0.000
0.000 5.414 0.000
0.000 0.000 5.043
Y Ni Ag Se
1 1 1 2
direct
0.000 0.000 0.000 Y
0.000 0.000 0.500 Ni
0.500 0.500 0.500 Ag
0.000 0.500 0.000 Se
0.500 0.000 0.000 Se
```